1.
Calculated PXRD pattern
Compound: Li2AcAg6
Radiation: a wavelength of 1.5418 Å
Structure: a DFT-relaxed cell (GGA-PBE, Alexandria)
Peak positions follow from Bragg's law for the DFT cell and can differ from measured ones.

Top 8 peaks for 10 to 80 degrees two-theta, low angle first:
d (Å)  I/Imax
7.851  88
4.154  30
3.062  81
2.447  100
2.337  31
2.308  29
2.294  39
1.674  27

Atomic structure:
```
data_Li2AcAg6
_chemical_formula_sum 'Li2 Ac1 Ag6'
_symmetry_space_group_name_H-M 'P 1'
_symmetry_Int_Tables_number 1
_symmetry_space_group_name_Hall 'P 1'
_cell_length_a 5.652
_cell_length_b 5.652
_cell_length_c 7.851
_cell_angle_alpha 90.00
_cell_angle_beta 90.00
_cell_angle_gamma 120.00
loop_
_atom_site_label
_atom_site_type_symbol
_atom_site_fract_x
_atom_site_fract_y
_atom_site_fract_z
Li1 Li 0.333 0.667 0.000
Li2 Li 0.667 0.333 0.000
Ac1 Ac 0.000 0.000 0.500
Ag1 Ag 0.000 0.500 0.286
Ag2 Ag 0.000 0.500 0.714
Ag3 Ag 0.500 0.000 0.286
Ag4 Ag 0.500 0.000 0.714
Ag5 Ag 0.500 0.500 0.286
Ag6 Ag 0.500 0.500 0.714
```

---

2.
Calculated PXRD pattern
Compound: HoTm2Rh9
Radiation: a wavelength of 1.5418 Å
Structure: a DFT-relaxed cell (GGA-PBE, Alexandria)
Peak positions follow from Bragg's law for the DFT cell and can differ from measured ones.

Top 8 peaks for 10 to 80 degrees two-theta, low angle first:
d (Å)  I/Imax
2.888  30
2.656  30
2.617  38
2.258  35
2.245  100
2.080  27
1.428  23
1.308  25

Atomic structure:
```
data_HoTm2Rh9
_chemical_formula_sum 'Ho1 Tm2 Rh9'
_symmetry_space_group_name_H-M 'P 1'
_symmetry_Int_Tables_number 1
_symmetry_space_group_name_Hall 'P 1'
_cell_length_a 9.249
_cell_length_b 9.249
_cell_length_c 9.249
_cell_angle_alpha 32.87
_cell_angle_beta 32.87
_cell_angle_gamma 32.87
loop_
_atom_site_label
_atom_site_type_symbol
_atom_site_fract_x
_atom_site_fract_y
_atom_site_fract_z
Ho1 Ho 0.000 0.000 0.000
Tm1 Tm 0.139 0.139 0.139
Tm2 Tm 0.861 0.861 0.861
Rh1 Rh 0.082 0.584 0.584
Rh2 Rh 0.333 0.333 0.333
Rh3 Rh 0.416 0.416 0.918
Rh4 Rh 0.416 0.918 0.416
Rh5 Rh 0.500 0.500 0.500
Rh6 Rh 0.584 0.082 0.584
Rh7 Rh 0.584 0.584 0.082
Rh8 Rh 0.667 0.667 0.667
Rh9 Rh 0.918 0.416 0.416
```

---

3.
Calculated PXRD pattern
Compound: TmGeHRu2
Radiation: a wavelength of 1.5418 Å
Structure: a DFT-relaxed cell (GGA-PBE, Alexandria)
Peak positions follow from Bragg's law for the DFT cell and can differ from measured ones.

Top 8 peaks for 10 to 80 degrees two-theta, low angle first:
d (Å)  I/Imax
3.170  24
2.478  78
2.419  100
2.356  40
2.320  23
2.288  68
1.628  25
1.327  23

Atomic structure:
```
data_TmGeHRu2
_chemical_formula_sum 'Tm2 Ge2 H2 Ru4'
_symmetry_space_group_name_H-M 'P 1'
_symmetry_Int_Tables_number 1
_symmetry_space_group_name_Hall 'P 1'
_cell_length_a 5.952
_cell_length_b 5.952
_cell_length_c 7.615
_cell_angle_alpha 90.00
_cell_angle_beta 90.00
_cell_angle_gamma 148.23
loop_
_atom_site_label
_atom_site_type_symbol
_atom_site_fract_x
_atom_site_fract_y
_atom_site_fract_z
Tm1 Tm 0.029 0.971 0.750
Tm2 Tm 0.971 0.029 0.250
Ge1 Ge 0.245 0.755 0.250
Ge2 Ge 0.755 0.245 0.750
H1 H 0.500 0.500 0.000
H2 H 0.500 0.500 0.500
Ru1 Ru 0.351 0.649 0.543
Ru2 Ru 0.351 0.649 0.957
Ru3 Ru 0.649 0.351 0.043
Ru4 Ru 0.649 0.351 0.457
```